For CaCo2O4, DFT lattice parameters and positions (GGA+U) gives the computed powder diffraction line list in this record (λ = 1.5418 Å (Cu Kα)).
Intensities are scaled so that the largest is 100.

The 10 most intense peaks (2θ from 15° to 90°), by angle:
- (0 0 2), 2θ 18.26, I 27
- (1 1 0), 2θ 29.85, I 19
- (1 1 1), 2θ 31.27, I 33
- (0 2 3), 2θ 33.07, I 100
- (0 4 0), 2θ 36.37, I 27
- (1 3 0), 2θ 39.65, I 42
- (1 3 1), 2θ 40.77, I 57
- (1 3 -2), 2θ 43.92, I 28
- (1 3 2), 2θ 44.05, I 26
- (2 0 0), 2θ 58.80, I 21

Atomic structure:
Unit cell a=3.141 b=9.881 c=9.715 alpha=90.00 beta=90.28 gamma=90.00
Space group Pc (No. 7)
Unique sites:
1 Ca 0.000 0.104 0.000
2 Ca 0.536 0.395 0.500
3 Co 0.009 0.364 0.816
4 Co 0.013 0.363 0.182
5 Co 0.510 0.138 0.683
6 Co 0.529 0.138 0.319
7 O 0.026 0.274 0.357
8 O 0.030 0.431 0.998
9 O 0.060 0.273 0.643
10 O 0.503 0.072 0.498
11 O 0.506 0.226 0.142
12 O 0.515 0.226 0.855
13 O 0.546 0.499 0.247
14 O 0.924 0.004 0.746